Record 1
The following is a computed XRD peak list of Mg2CdMo. It was derived from the PBE geometry in Alexandria, using Cu Kα.
No peak broadening, texture or thermal motion is included.

Crystal structure
Unit cell a=3.576 b=4.514 c=9.517 alpha=90.00 beta=90.00 gamma=90.00
Atoms (fractional coordinates):
Mg1 0.000 0.000 0.000
Mg2 0.000 0.500 0.272
Mg3 0.500 0.000 0.272
Mg4 0.500 0.500 0.000
Cd1 0.000 0.000 0.530
Cd2 0.500 0.500 0.530
Mo1 0.000 0.500 0.772
Mo2 0.500 0.000 0.772

Top 8 peaks for 10° ≤ 2θ ≤ 90°, by intensity:
2θ (°)	I_rel
37.2	100
33.3	23
37.8	23
39.9	21
43.1	17
67.9	15
70.8	14
56.2	14



Record 2
The following is a computed XRD peak list of Mg2CdWN4. It was derived from the PBE geometry in Alexandria, using Cu Kα.
No peak broadening, texture or thermal motion is included.

Crystal structure
Unit cell a=6.940 b=5.885 c=5.500 alpha=90.00 beta=90.00 gamma=90.00
Atoms (fractional coordinates):
Mg1 0.248 0.169 0.000
Mg2 0.252 0.831 0.500
Mg3 0.748 0.831 0.500
Mg4 0.752 0.169 0.000
Cd1 0.000 0.336 0.499
Cd2 0.500 0.664 0.999
W1 0.000 0.677 0.005
W2 0.500 0.323 0.505
N1 0.000 0.364 0.918
N2 0.000 0.702 0.345
N3 0.219 0.830 0.883
N4 0.281 0.170 0.383
N5 0.500 0.298 0.845
N6 0.500 0.636 0.418
N7 0.719 0.170 0.383
N8 0.781 0.830 0.883

Top 8 peaks for 10° ≤ 2θ ≤ 90°, by intensity:
2θ (°)	I_rel
34.1	100
22.1	92
32.6	47
25.7	43
34.6	42
29.9	34
15.1	30
59.1	29



Record 3
The following is a computed XRD peak list of NaMg2Cd3. It was derived from the PBE geometry in Alexandria, using Cu Kα.
No peak broadening, texture or thermal motion is included.

Crystal structure
Unit cell a=3.586 b=3.586 c=10.793 alpha=90.00 beta=90.00 gamma=90.00
Atoms (fractional coordinates):
Na1 0.000 0.000 0.000
Mg1 0.000 0.000 0.343
Mg2 0.000 0.000 0.657
Cd1 0.500 0.500 0.188
Cd2 0.500 0.500 0.500
Cd3 0.500 0.500 0.812

Top 8 peaks for 10° ≤ 2θ ≤ 90°, by intensity:
2θ (°)	I_rel
35.4	100
24.8	52
63.5	22
43.7	14
57.4	13
50.9	12
85.7	10
63.4	8



Record 4
The following is a computed XRD peak list of Na2MgCd10. It was derived from the PBE geometry in Alexandria, using Cu Kα.
No peak broadening, texture or thermal motion is included.

Crystal structure
Unit cell a=8.844 b=14.262 c=5.904 alpha=90.00 beta=90.00 gamma=90.00
Atoms (fractional coordinates):
Na1 0.207 0.085 0.000
Na2 0.293 0.585 0.000
Na3 0.707 0.415 0.000
Na4 0.793 0.915 0.000
Mg1 0.000 0.000 0.500
Mg2 0.500 0.500 0.500
Cd1 0.010 0.668 0.500
Cd2 0.165 0.171 0.500
Cd3 0.165 0.834 0.238
Cd4 0.165 0.834 0.762
Cd5 0.173 0.493 0.500
Cd6 0.327 0.993 0.500
Cd7 0.335 0.334 0.238
Cd8 0.335 0.334 0.762
Cd9 0.335 0.671 0.500
Cd10 0.490 0.168 0.500
Cd11 0.510 0.832 0.500
Cd12 0.665 0.329 0.500
Cd13 0.665 0.666 0.238
Cd14 0.665 0.666 0.762
Cd15 0.673 0.007 0.500
Cd16 0.827 0.507 0.500
Cd17 0.835 0.166 0.238
Cd18 0.835 0.166 0.762
Cd19 0.835 0.829 0.500
Cd20 0.990 0.332 0.500

Top 8 peaks for 10° ≤ 2θ ≤ 90°, by intensity:
2θ (°)	I_rel
15.0	100
35.8	85
41.0	43
39.1	42
34.4	39
37.9	31
37.2	28
74.6	22



Please write out number 3 again, unchanged.
The following is a computed XRD peak list of NaMg2Cd3. It was derived from the PBE geometry in Alexandria, using Cu Kα.
No peak broadening, texture or thermal motion is included.

Crystal structure
Unit cell a=3.586 b=3.586 c=10.793 alpha=90.00 beta=90.00 gamma=90.00
Atoms (fractional coordinates):
Na1 0.000 0.000 0.000
Mg1 0.000 0.000 0.343
Mg2 0.000 0.000 0.657
Cd1 0.500 0.500 0.188
Cd2 0.500 0.500 0.500
Cd3 0.500 0.500 0.812

Top 8 peaks for 10° ≤ 2θ ≤ 90°, by intensity:
2θ (°)	I_rel
35.4	100
24.8	52
63.5	22
43.7	14
57.4	13
50.9	12
85.7	10
63.4	8